This entry pairs a crystal structure of YbCu2Mo3O12 with its simulated PXRD pattern. Radiation: Cu Kα (weighted mean of Kα1 and Kα2). Structure: a structure optimized by DFT (GGA+U).

Structural model:
```
36
Lattice="5.144 0.000 0.000 0.000 11.386 0.000 -0.667 0.000 8.723" Properties=species:S:1:pos:R:3 pbc="T T T"
Yb 0.957 2.847 0.372
Yb 3.520 8.540 8.350
Cu 0.903 0.897 3.892
Cu 0.903 4.796 3.892
Cu 3.574 6.590 4.831
Cu 3.574 10.489 4.831
Mo 1.014 8.540 3.341
Mo 1.122 6.006 6.988
Mo 1.122 11.073 6.988
Mo 3.355 0.313 1.735
Mo 3.355 5.380 1.735
Mo 3.463 2.847 5.382
O -0.293 8.540 4.576
O 0.292 8.540 1.726
O 0.037 0.104 5.559
O 0.037 5.589 5.559
O 0.080 7.087 7.895
O 0.080 9.992 7.895
O 1.385 1.154 7.972
O 1.385 4.539 7.972
O 1.835 1.278 2.172
O 1.835 4.415 2.172
O 2.070 7.059 3.600
O 2.070 10.020 3.600
O 2.407 1.366 5.123
O 2.407 4.327 5.123
O 2.643 6.971 6.550
O 2.643 10.108 6.550
O 3.092 6.847 0.751
O 3.092 10.233 0.751
O 4.397 1.394 0.827
O 4.397 4.299 0.827
O 4.440 5.797 3.164
O 4.440 11.282 3.164
O 4.185 2.847 6.996
O 4.770 2.847 4.146
```

Largest 8 diffraction maxima, in order of rising 2θ, 2θ = 10–90°:
2θ (°), I (rel.), index
21.8, 32, 0 1 2
25.0, 100, 1 2 -1
25.7, 47, 0 2 2
27.8, 41, 1 0 2
30.6, 53, 1 3 -1
31.5, 87, 1 3 1
34.3, 31, 1 0 -3
34.6, 31, 0 2 3